Diffraction record for Eu3WCl3O6. The XRD peak list is computed, not measured: it uses a structure optimized by DFT (PBE+U) and Cu Kα X-rays.
Peak positions follow from Bragg's law for the DFT cell and can differ from measured ones.

Most intense lines, 2θ = 10–90°, low angle first:
2θ 10.9, intensity 55
2θ 25.2, intensity 61
2θ 27.5, intensity 61
2θ 29.0, intensity 38
2θ 33.0, intensity 20
2θ 33.4, intensity 31
2θ 33.6, intensity 100
2θ 44.8, intensity 40
2θ 47.6, intensity 22
2θ 51.8, intensity 37

Structure:
```
data_Eu3WCl3O6
_cell_length_a 9.4043
_cell_length_b 9.4043
_cell_length_c 5.3678
_cell_angle_alpha 90.00
_cell_angle_beta 90.00
_cell_angle_gamma 120.00
_symmetry_space_group_name_H-M 'P 63/m'
_symmetry_Int_Tables_number 176
_symmetry_space_group_name_Hall '-P 6c'
loop_
_atom_site_label
_atom_site_type_symbol
_atom_site_fract_x
_atom_site_fract_y
_atom_site_fract_z
Eu1 Eu 0.0897 0.4031 0.2500
W1 W 0.3333 0.6667 0.7500
Cl1 Cl 0.0498 0.2427 0.7500
O1 O 0.1598 0.6350 0.5171
```